Starting from a cell relaxed with GGA-PBE, the powder XRD pattern of Th2GeRh6 was calculated for Cu Kα.
Peak positions follow from Bragg's law for the DFT cell and can differ from measured ones.

Top 8 peaks for 15 to 90 degrees two-theta, by intensity:
d (Å), 2theta, Rel. int.
2.268, 39.75, 100
2.494, 36.01, 33
2.892, 30.93, 22
1.423, 65.60, 19
2.554, 35.14, 18
2.465, 36.45, 18
1.876, 48.53, 17
3.752, 23.72, 14

Atomic structure:
a b c (Å): 5.6922 5.6922 5.7831
angles (deg): 90.05 90.05 60.01
Fractional positions:
Th: 0.1666 0.1666 0.3100
Th: 0.8334 0.8334 0.6900
Ge: 0.5000 0.5000 0.5000
Rh: 0.1541 0.6728 0.1915
Rh: 0.3271 0.3271 0.8081
Rh: 0.3272 0.8459 0.8085
Rh: 0.6728 0.1541 0.1915
Rh: 0.6729 0.6729 0.1919
Rh: 0.8459 0.3272 0.8085



Starting from a cell relaxed with GGA-PBE, the powder XRD pattern of Ti4GeRh was calculated for Cu Kα.
Peak positions follow from Bragg's law for the DFT cell and can differ from measured ones.

Top 8 peaks for 15 to 90 degrees two-theta, by intensity:
d (Å), 2theta, Rel. int.
2.318, 38.86, 100
3.459, 25.76, 93
3.509, 25.38, 84
2.067, 43.80, 72
1.952, 46.53, 58
1.925, 47.22, 50
2.025, 44.74, 40
1.943, 46.75, 34

Atomic structure:
a b c (Å): 6.4723 6.6432 5.2816
angles (deg): 90.00 91.17 90.00
Fractional positions:
Ti: 0.1360 0.1481 0.4477
Ti: 0.1360 0.3519 0.9477
Ti: 0.2650 0.7175 0.2943
Ti: 0.2650 0.7825 0.7943
Ti: 0.7350 0.2175 0.2057
Ti: 0.7350 0.2825 0.7057
Ti: 0.8640 0.6481 0.0523
Ti: 0.8640 0.8519 0.5523
Ge: 0.5000 0.0000 0.5000
Ge: 0.5000 0.5000 0.0000
Rh: 0.0000 0.0000 0.0000
Rh: 0.0000 0.5000 0.5000



Starting from a cell relaxed with GGA-PBE, the powder XRD pattern of Ti2GeRh5 was calculated for Cu Kα.
Peak positions follow from Bragg's law for the DFT cell and can differ from measured ones.

Top 8 peaks for 15 to 90 degrees two-theta, by intensity:
d (Å), 2theta, Rel. int.
2.211, 40.82, 100
2.239, 40.28, 67
2.191, 41.20, 39
1.982, 45.78, 39
1.901, 47.86, 38
1.372, 68.38, 25
2.156, 41.90, 20
1.184, 81.28, 13

Atomic structure:
a b c (Å): 5.4267 10.6519 3.9642
angles (deg): 90.00 90.00 90.00
Fractional positions:
Ti: 0.1790 0.1409 0.0000
Ti: 0.3210 0.6409 0.0000
Ti: 0.6790 0.3591 0.0000
Ti: 0.8210 0.8591 0.0000
Ge: 0.0000 0.5000 0.5000
Ge: 0.5000 0.0000 0.5000
Rh: 0.0000 0.0000 0.5000
Rh: 0.0675 0.7440 0.5000
Rh: 0.1943 0.3902 0.0000
Rh: 0.3057 0.8902 0.0000
Rh: 0.4325 0.2440 0.5000
Rh: 0.5000 0.5000 0.5000
Rh: 0.5675 0.7560 0.5000
Rh: 0.6943 0.1098 0.0000
Rh: 0.8057 0.6098 0.0000
Rh: 0.9325 0.2560 0.5000



Q: What is the formula in the third record?
A: Ti2GeRh5